Calculated X-ray diffraction stick pattern
Compound: LiCdPb2
Radiation: λ = 1.5418 Å (Cu Kα)
Structure: the PBE geometry in Alexandria
Lines closer than 0.1° are merged.

Structural model:
```
data_LiCdPb2
_chemical_formula_sum 'Li1 Cd1 Pb2'
_symmetry_space_group_name_H-M 'P 4/m m m'
_symmetry_Int_Tables_number 123
_symmetry_space_group_name_Hall '-P 4 2'
_cell_length_a 4.802
_cell_length_b 4.802
_cell_length_c 4.457
_cell_angle_alpha 90.00
_cell_angle_beta 90.00
_cell_angle_gamma 90.00
loop_
_atom_site_label
_atom_site_fract_x
_atom_site_fract_y
_atom_site_fract_z
_atom_site_occupancy
Li1 0.000 0.000 0.000 1
Cd1 0.500 0.500 0.000 1
Pb1 0.000 0.500 0.500 1
```

Top 10 peaks for 10° ≤ 2θ ≤ 90°, sorted by position:
19.92°, I 251, hkl 0 0 1; 26.25°, I 265, hkl 1 1 0; 33.17°, I 1000, hkl 1 1 1; 37.46°, I 362, hkl 2 0 0; 40.47°, I 146, hkl 0 0 2; 42.78°, I 153, hkl 2 0 1; 54.01°, I 127, hkl 2 2 0; 56.32°, I 224, hkl 2 0 2; 64.87°, I 294, hkl 3 1 1; 68.99°, I 123, hkl 1 1 3